Record 1
Starting from a structure optimized by DFT (PBE), the X-ray diffraction stick pattern of SrLiTeHOsBr was calculated for Cu Ka.
Intensities are scaled so that the largest is 100.

Structure:
```
6
Lattice="4.136 0.000 0.000 -2.068 3.582 0.000 0.000 0.000 8.874" Properties=species:S:1:pos:R:3 pbc="T T T"
Sr 0.000 0.000 0.000
Li 2.068 1.194 5.104
Te 0.000 0.000 3.294
H 2.068 1.194 0.498
Os 2.068 1.194 2.223
Br 0.000 2.388 6.647
```

Largest 10 diffraction maxima, low angle first, 5° ≤ 2θ ≤ 70°:
Position (°2θ)	d (Å)	I_rel
10.0	8.874	100
20.0	4.437	28
26.8	3.322	98
32.1	2.787	78
39.5	2.281	68
43.8	2.068	56
48.6	1.875	17
55.3	1.661	17
58.0	1.590	21
60.4	1.532	20

=====

Record 2
Starting from a structure optimized by DFT (PBE), the X-ray diffraction stick pattern of PdCl was calculated for Cu Ka.
Intensities are scaled so that the largest is 100.

Structure:
```
8
Lattice="0.000 4.057 6.050 3.586 0.000 6.050 3.586 4.057 0.000" Properties=species:S:1:pos:R:3 pbc="T T T"
Pd 0.896 1.014 0.167
Pd 0.896 1.014 2.858
Pd 6.275 7.100 9.241
Pd 6.275 7.100 11.933
Cl 2.689 1.277 4.537
Cl 4.482 3.306 7.562
Cl 2.689 4.808 4.537
Cl 4.482 6.837 7.562
```

Largest 10 diffraction maxima, low angle first, 5° ≤ 2θ ≤ 70°:
Position (°2θ)	d (Å)	I_rel
18.1	4.911	100
27.7	3.226	24
28.9	3.085	17
33.3	2.687	22
36.3	2.477	32
40.0	2.253	13
40.9	2.206	25
44.7	2.029	14
45.1	2.009	57
50.9	1.793	11

=====

Record 3
Starting from a structure optimized by DFT (PBE), the X-ray diffraction stick pattern of Be2AlS4 was calculated for Cu Ka.
Intensities are scaled so that the largest is 100.

Structure:
```
7
Lattice="4.852 0.000 0.000 0.000 4.852 0.000 0.000 0.000 5.243" Properties=species:S:1:pos:R:3 pbc="T T T"
Be 0.000 2.426 0.000
Be 2.426 0.000 0.000
Al 0.000 0.000 2.622
S 1.267 1.267 4.021
S 1.267 3.585 1.223
S 3.585 1.267 1.223
S 3.585 3.585 4.021
```

Largest 10 diffraction maxima, low angle first, 5° ≤ 2θ ≤ 70°:
Position (°2θ)	d (Å)	I_rel
25.0	3.561	8
31.2	2.871	100
34.2	2.622	8
37.1	2.426	13
39.1	2.306	4
51.3	1.781	31
53.4	1.715	14
59.3	1.557	12
63.1	1.472	21
65.0	1.435	4

=====

Record 4
Starting from a structure optimized by DFT (PBE), the X-ray diffraction stick pattern of La4GaSiO was calculated for Cu Ka.
Intensities are scaled so that the largest is 100.

Structure:
```
14
Lattice="3.415 -8.190 0.000 3.415 8.190 0.000 0.000 0.000 6.829" Properties=species:S:1:pos:R:3 pbc="T T T"
La 1.708 4.095 0.000
La 1.708 4.095 3.414
La 3.415 7.048 5.121
La 3.415 1.193 5.121
La 1.708 -4.095 0.000
La 1.708 -4.095 3.414
La 3.415 -1.193 1.707
La 3.415 -7.048 1.707
Ga 3.415 1.872 1.707
Ga 3.415 -1.872 5.121
Si 3.415 6.286 1.707
Si 3.415 -6.286 5.121
O 3.415 4.110 5.121
O 3.415 -4.110 1.707
```

Largest 10 diffraction maxima, low angle first, 5° ≤ 2θ ≤ 70°:
Position (°2θ)	d (Å)	I_rel
24.6	3.617	19
28.3	3.152	100
32.8	2.730	29
33.0	2.711	27
34.2	2.623	54
37.2	2.415	55
50.5	1.809	34
52.1	1.756	17
53.7	1.707	19
61.8	1.501	22

=====

Record 5
Starting from a structure optimized by DFT (PBE), the X-ray diffraction stick pattern of LaPmInSn was calculated for Cu Ka.
Intensities are scaled so that the largest is 100.

Structure:
```
8
Lattice="4.306 0.000 0.000 0.000 4.968 0.000 0.000 0.000 11.095" Properties=species:S:1:pos:R:3 pbc="T T T"
La 0.000 0.000 0.000
La 2.153 2.484 5.547
Pm 0.000 2.484 8.474
Pm 2.153 0.000 2.927
In 0.000 0.000 5.990
In 2.153 2.484 0.443
Sn 0.000 2.484 2.649
Sn 2.153 0.000 8.196
```

Largest 10 diffraction maxima, low angle first, 5° ≤ 2θ ≤ 70°:
Position (°2θ)	d (Å)	I_rel
31.9	2.807	100
32.3	2.774	20
36.2	2.484	19
42.0	2.153	12
49.2	1.850	13
53.9	1.701	10
56.6	1.627	10
57.3	1.608	12
62.4	1.489	15
66.6	1.403	11

=====

Record 6
Starting from a structure optimized by DFT (PBE), the X-ray diffraction stick pattern of Cs2Tl2InHg4 was calculated for Cu Ka.
Intensities are scaled so that the largest is 100.

Structure:
```
9
Lattice="6.207 -3.943 0.000 6.207 3.943 0.000 -2.138 0.000 6.696" Properties=species:S:1:pos:R:3 pbc="T T T"
Cs 0.903 0.000 2.132
Cs 9.374 0.000 4.564
Tl 2.840 0.000 5.633
Tl 7.436 0.000 1.063
In 5.138 0.000 3.348
Hg 3.958 2.021 1.327
Hg 6.319 2.021 5.369
Hg 3.958 -2.021 1.327
Hg 6.319 -2.021 5.369
```

Largest 10 diffraction maxima, low angle first, 5° ≤ 2θ ≤ 70°:
Position (°2θ)	d (Å)	I_rel
26.6	3.348	27
27.8	3.209	20
28.2	3.165	100
30.2	2.957	40
32.4	2.767	82
33.8	2.652	31
40.4	2.232	16
45.1	2.011	17
46.0	1.971	26
49.8	1.832	26

=====

Record 7
Starting from a structure optimized by DFT (PBE), the X-ray diffraction stick pattern of CePm8Sm5 was calculated for Cu Ka.
Intensities are scaled so that the largest is 100.

Structure:
```
14
Lattice="-4.812 4.812 5.209 4.812 -4.812 5.209 4.812 4.812 -5.209" Properties=species:S:1:pos:R:3 pbc="T T T"
Ce 0.000 0.000 0.000
Pm 6.626 0.741 -0.041
Pm 4.118 3.114 -1.516
Pm 0.741 2.998 0.041
Pm 0.694 1.698 3.693
Pm 1.698 -0.694 6.725
Pm 4.071 1.814 5.250
Pm 3.114 5.506 1.516
Pm -1.814 4.071 5.168
Sm 2.800 -1.042 3.358
Sm 3.770 2.012 1.851
Sm 2.012 5.854 -1.851
Sm 0.000 4.812 2.605
Sm 1.042 2.800 7.060
```

Largest 10 diffraction maxima, low angle first, 5° ≤ 2θ ≤ 70°:
Position (°2θ)	d (Å)	I_rel
27.3	3.267	61
29.1	3.066	67
29.3	3.043	80
31.4	2.849	25
33.1	2.703	100
34.1	2.628	39
34.7	2.586	44
54.5	1.683	23
55.4	1.659	19
61.5	1.508	22

=====

Record 8
Starting from a structure optimized by DFT (PBE), the X-ray diffraction stick pattern of Ni12Pt4W3 was calculated for Cu Ka.
Intensities are scaled so that the largest is 100.

Structure:
```
19
Lattice="-4.408 4.408 4.408 4.408 -4.408 4.408 4.408 4.408 -4.408" Properties=species:S:1:pos:R:3 pbc="T T T"
Ni 4.408 -1.196 2.129
Ni 3.212 2.280 0.000
Ni 5.604 2.280 0.000
Ni 2.129 4.408 -1.196
Ni 2.280 0.000 3.212
Ni 4.408 1.196 2.129
Ni 0.000 3.212 2.280
Ni 2.129 4.408 1.196
Ni 2.280 0.000 5.604
Ni -1.196 2.129 4.408
Ni 1.196 2.129 4.408
Ni 0.000 5.604 2.280
Pt 2.204 2.204 -2.204
Pt 2.204 -2.204 2.204
Pt -2.204 2.204 2.204
Pt 2.204 2.204 2.204
W 4.408 0.000 0.000
W 0.000 4.408 0.000
W 0.000 0.000 4.408
```

Largest 10 diffraction maxima, low angle first, 5° ≤ 2θ ≤ 70°:
Position (°2θ)	d (Å)	I_rel
14.2	6.234	63
28.6	3.117	100
32.1	2.788	7
38.2	2.356	15
40.9	2.204	44
46.0	1.971	16
50.7	1.800	93
53.0	1.729	8
59.3	1.559	14
67.1	1.394	20

=====

Record 9
Starting from a structure optimized by DFT (PBE), the X-ray diffraction stick pattern of Ti3SiSe3 was calculated for Cu Ka.
Intensities are scaled so that the largest is 100.

Structure:
```
28
Lattice="-5.120 5.120 5.120 5.120 -5.120 5.120 5.120 5.120 -5.120" Properties=species:S:1:pos:R:3 pbc="T T T"
Ti 1.334 1.280 -1.226
Ti 6.345 1.334 -1.280
Ti 1.280 -1.226 1.334
Ti 3.894 3.786 -1.280
Ti 3.786 1.280 1.226
Ti -1.226 1.334 1.280
Ti 3.786 -1.280 3.894
Ti 1.280 1.226 3.786
Ti 1.226 3.786 1.280
Ti 1.334 -1.280 6.345
Ti -1.280 6.345 1.334
Ti -1.280 3.894 3.786
Si 3.840 1.280 -1.280
Si 1.280 1.280 1.280
Si 1.280 -1.280 3.840
Si -1.280 3.840 1.280
Se 6.399 1.244 1.316
Se 6.399 -1.244 3.804
Se 3.804 6.399 -1.244
Se 3.876 1.316 3.840
Se 3.840 3.876 1.316
Se 1.316 6.399 1.244
Se 6.364 3.804 3.840
Se 1.316 3.840 3.876
Se 1.244 1.316 6.399
Se 3.840 6.364 3.804
Se -1.244 3.804 6.399
Se 3.804 3.840 6.364
```

Largest 10 diffraction maxima, low angle first, 5° ≤ 2θ ≤ 70°:
Position (°2θ)	d (Å)	I_rel
21.3	4.180	16
30.2	2.956	18
32.7	2.737	18
35.1	2.560	100
41.4	2.183	7
50.4	1.810	67
55.3	1.661	3
59.9	1.544	9
62.9	1.478	22
67.2	1.393	5

=====

Record 10
Starting from a structure optimized by DFT (PBE), the X-ray diffraction stick pattern of DyEr8Sb2 was calculated for Cu Ka.
Intensities are scaled so that the largest is 100.

Structure:
```
11
Lattice="7.395 -4.349 0.000 7.395 4.349 0.000 -2.160 0.000 5.658" Properties=species:S:1:pos:R:3 pbc="T T T"
Dy 0.000 0.000 0.000
Er 0.885 0.000 4.545
Er 4.082 1.645 4.088
Er 5.553 0.000 1.322
Er 8.549 1.645 1.570
Er 4.082 -1.645 4.088
Er 7.078 0.000 4.336
Er 8.549 -1.645 1.570
Er 11.746 0.000 1.113
Sb 2.497 0.000 1.956
Sb 10.134 0.000 3.702
```

Largest 10 diffraction maxima, low angle first, 5° ≤ 2θ ≤ 70°:
Position (°2θ)	d (Å)	I_rel
20.4	4.349	36
25.8	3.453	30
26.3	3.394	55
31.4	2.848	100
31.6	2.832	64
32.2	2.776	31
33.0	2.714	50
34.0	2.634	74
36.1	2.487	32
37.1	2.426	36

=====

Record 11
Starting from a structure optimized by DFT (PBE), the X-ray diffraction stick pattern of NdY5Er3 was calculated for Cu Ka.
Intensities are scaled so that the largest is 100.

Structure:
```
18
Lattice="8.000 -3.359 0.000 8.000 3.359 0.000 -3.976 0.000 11.149" Properties=species:S:1:pos:R:3 pbc="T T T"
Nd 5.018 2.016 8.362
Nd 7.006 -2.016 2.787
Y 1.565 1.312 8.221
Y -0.828 0.326 10.609
Y 1.160 -0.326 5.035
Y 7.006 1.311 2.787
Y 3.553 -1.312 2.647
Y 8.470 1.312 8.502
Y 5.018 -1.311 8.362
Y 10.864 0.326 6.114
Y 12.852 -0.326 0.540
Y 10.459 -1.312 2.928
Er 0.000 0.000 0.000
Er -1.988 0.000 5.575
Er 4.372 0.347 5.449
Er 2.384 -0.347 11.023
Er 9.639 0.347 0.126
Er 7.651 -0.347 5.700
```

Largest 10 diffraction maxima, low angle first, 5° ≤ 2θ ≤ 70°:
Position (°2θ)	d (Å)	I_rel
11.7	7.535	20
31.1	2.877	100
31.3	2.859	40
31.6	2.835	57
32.1	2.787	52
32.6	2.750	38
32.9	2.724	31
35.8	2.507	21
38.3	2.351	22
40.8	2.212	20

=====

Record 12
Starting from a structure optimized by DFT (PBE), the X-ray diffraction stick pattern of PmAl2O4 was calculated for Cu Ka.
Intensities are scaled so that the largest is 100.

Structure:
```
14
Lattice="0.000 5.672 3.237 4.822 0.000 3.237 4.822 5.672 0.000" Properties=species:S:1:pos:R:3 pbc="T T T"
Pm 0.000 0.000 0.000
Pm 2.411 2.836 1.619
Al 5.968 3.594 2.102
Al 6.087 6.430 3.721
Al 3.676 7.750 2.102
Al 3.557 4.914 3.721
O 4.223 4.267 2.125
O 6.559 4.662 3.493
O 5.422 7.077 2.125
O 7.833 7.103 3.744
O 8.970 9.518 5.112
O 6.634 9.914 3.744
O 3.085 6.682 3.493
O 5.497 7.498 5.112
```

Largest 10 diffraction maxima, low angle first, 5° ≤ 2θ ≤ 70°:
Position (°2θ)	d (Å)	I_rel
18.3	4.858	100
24.2	3.674	100
28.9	3.093	84
31.8	2.812	94
32.1	2.791	100
33.3	2.688	33
39.3	2.291	44
43.3	2.090	32
43.7	2.071	30
46.6	1.951	56